Calculated powder diffractogram of AcTlAg for Cu Ka, from a cell relaxed with GGA-PBE.
Intensities are scaled so that the largest is 100.

Peak list (10 most intense, 5 to 70 degrees two-theta, low angle first)
- hkl 1 0 0, 2θ 20.03, intensity 9
- hkl 0 0 1, 2θ 22.91, intensity 2
- hkl 1 0 1, 2θ 30.61, intensity 100
- hkl 1 1 0, 2θ 35.07, intensity 67
- hkl 1 1 1, 2θ 42.30, intensity 2
- hkl 0 0 2, 2θ 46.80, intensity 10
- hkl 2 0 1, 2θ 47.22, intensity 31
- hkl 1 1 2, 2θ 59.80, intensity 29
- hkl 2 1 1, 2θ 60.16, intensity 30
- hkl 3 0 0, 2θ 62.91, intensity 13

Crystal structure
a b c (Å): 5.1179 5.1179 3.8825
angles (deg): 90.00 90.00 120.00
Space group P-6m2 (No. 187)
Unique sites:
Ac: 0.0000 0.0000 0.0000 x1
Tl: 0.6667 0.3333 0.5000 x1
Ag: 0.3333 0.6667 0.5000 x1